[1]
For Pm3AgBr3, the PBE geometry in Alexandria gives the calculated powder diffraction line list in this record (a wavelength of 1.5418 Å).

Cell and atoms:
```
Pm3AgBr3
1.0
-6.0222 6.0222 6.0222
6.0222 -6.0222 6.0222
6.0222 6.0222 -6.0222
Pm Ag Br
12 4 12
Direct
0.0061 0.0122 0.2561 Pm
0.0061 0.4939 0.7500 Pm
0.0122 0.2561 0.0061 Pm
0.2439 0.2561 0.7500 Pm
0.2439 0.4878 0.4939 Pm
0.2561 0.0061 0.0122 Pm
0.2561 0.7500 0.2439 Pm
0.4878 0.4939 0.2439 Pm
0.4939 0.2439 0.4878 Pm
0.4939 0.7500 0.0061 Pm
0.7500 0.0061 0.4939 Pm
0.7500 0.2439 0.2561 Pm
0.0000 0.2500 0.5000 Ag
0.2500 0.2500 0.2500 Ag
0.2500 0.5000 0.0000 Ag
0.5000 0.0000 0.2500 Ag
0.2500 0.7571 0.7429 Br
0.2500 0.9929 0.5071 Br
0.5071 0.2500 0.9929 Br
0.5071 0.7571 0.5143 Br
0.5143 0.5071 0.7571 Br
0.7429 0.2500 0.7571 Br
0.7429 0.9929 0.9857 Br
0.7571 0.5143 0.5071 Br
0.7571 0.7429 0.2500 Br
0.9857 0.7429 0.9929 Br
0.9929 0.5071 0.2500 Br
0.9929 0.9857 0.7429 Br
```

Principal peaks in the range 2θ = 10–80°, low angle first:
2θ = 10.4°, rel. 30
2θ = 27.7°, rel. 9
2θ = 29.7°, rel. 100
2θ = 42.5°, rel. 73
2θ = 52.6°, rel. 25
2θ = 61.6°, rel. 12
2θ = 69.8°, rel. 31
2θ = 77.7°, rel. 23

[2]
For Dy3Er2Ir2, the PBE geometry in Alexandria gives the calculated powder diffraction line list in this record (a wavelength of 1.5418 Å).

Cell and atoms:
```
Dy3Er2Ir2
1.0
5.9802 -1.9238 0.0000
5.9802 1.9238 0.0000
-3.7953 0.0000 7.8843
Dy Er Ir
3 2 2
Direct
0.0000 0.0000 0.0000 Dy
0.1184 0.1184 0.4310 Dy
0.8816 0.8816 0.5690 Dy
0.3322 0.3322 0.1908 Er
0.6678 0.6678 0.8092 Er
0.3212 0.3212 0.7658 Ir
0.6788 0.6788 0.2342 Ir
```

Principal peaks in the range 2θ = 10–80°, low angle first:
2θ = 31.0°, rel. 79
2θ = 32.3°, rel. 97
2θ = 33.5°, rel. 80
2θ = 34.1°, rel. 90
2θ = 34.5°, rel. 100
2θ = 36.0°, rel. 63
2θ = 39.3°, rel. 61
2θ = 47.3°, rel. 80

[3]
For La3Ce2SmAs6, the PBE geometry in Alexandria gives the calculated powder diffraction line list in this record (a wavelength of 1.5418 Å).

Cell and atoms:
```
La3Ce2SmAs6
1.0
3.7181 -6.4390 0.0000
3.7181 6.4390 0.0000
-2.4783 0.0000 7.0260
La Ce Sm As
3 2 1 6
Direct
0.0000 0.0000 0.0000 La
0.3338 0.6662 0.0000 La
0.6662 0.3338 0.0000 La
0.1668 0.8332 0.5000 Ce
0.8332 0.1668 0.5000 Ce
0.5000 0.5000 0.5000 Sm
0.0846 0.4200 0.2600 As
0.2446 0.2446 0.7402 As
0.4200 0.0846 0.2600 As
0.5800 0.9154 0.7400 As
0.7554 0.7554 0.2598 As
0.9154 0.5800 0.7400 As
```

Principal peaks in the range 2θ = 10–80°, low angle first:
2θ = 25.4°, rel. 16
2θ = 29.4°, rel. 100
2θ = 42.1°, rel. 75
2θ = 49.8°, rel. 8
2θ = 52.2°, rel. 20
2θ = 61.0°, rel. 12
2θ = 69.1°, rel. 28
2θ = 76.9°, rel. 19

[4]
For Sr3IrI2, the PBE geometry in Alexandria gives the calculated powder diffraction line list in this record (a wavelength of 1.5418 Å).

Cell and atoms:
```
Sr3IrI2
1.0
0.0000 6.6324 13.6711
4.8442 0.0000 13.6711
4.8442 6.6324 0.0000
Sr Ir I
12 4 8
Direct
0.0331 0.5311 0.1695 Sr
0.0703 0.6797 0.6797 Sr
0.1695 0.7663 0.0331 Sr
0.2337 0.8305 0.4689 Sr
0.3203 0.9297 0.9297 Sr
0.4689 0.9669 0.2337 Sr
0.5311 0.0331 0.7663 Sr
0.6797 0.0703 0.0703 Sr
0.7663 0.1695 0.5311 Sr
0.8305 0.2337 0.9669 Sr
0.9297 0.3203 0.3203 Sr
0.9669 0.4689 0.8305 Sr
0.0409 0.0409 0.2091 Ir
0.2091 0.2091 0.0409 Ir
0.7909 0.7909 0.9591 Ir
0.9591 0.9591 0.7909 Ir
0.1331 0.1331 0.6169 I
0.2980 0.2980 0.4520 I
0.3831 0.3831 0.8669 I
0.4520 0.4520 0.2980 I
0.5480 0.5480 0.7020 I
0.6169 0.6169 0.1331 I
0.7020 0.7020 0.5480 I
0.8669 0.8669 0.3831 I
```

Principal peaks in the range 2θ = 10–80°, low angle first:
2θ = 11.8°, rel. 12
2θ = 26.9°, rel. 100
2θ = 37.1°, rel. 12
2θ = 38.4°, rel. 47
2θ = 39.5°, rel. 11
2θ = 46.4°, rel. 11
2θ = 48.5°, rel. 11
2θ = 62.6°, rel. 16

[5]
For NiPd5Se8, the PBE geometry in Alexandria gives the calculated powder diffraction line list in this record (a wavelength of 1.5418 Å).

Cell and atoms:
```
NiPd5Se8
1.0
0.0000 5.2690 5.2690
5.2690 0.0000 5.2690
5.2690 5.2690 0.0000
Ni Pd Se
1 5 8
Direct
0.0000 0.0000 0.0000 Ni
0.3744 0.3744 0.3744 Pd
0.3744 0.3744 0.8768 Pd
0.3744 0.8768 0.3744 Pd
0.7500 0.7500 0.7500 Pd
0.8768 0.3744 0.3744 Pd
0.1297 0.1297 0.1297 Se
0.1297 0.1297 0.6110 Se
0.1297 0.6110 0.1297 Se
0.1551 0.6150 0.6150 Se
0.6110 0.1297 0.1297 Se
0.6150 0.1551 0.6150 Se
0.6150 0.6150 0.1551 Se
0.6150 0.6150 0.6150 Se
```

Principal peaks in the range 2θ = 10–80°, low angle first:
2θ = 14.6°, rel. 20
2θ = 23.9°, rel. 16
2θ = 28.1°, rel. 68
2θ = 34.0°, rel. 75
2θ = 44.7°, rel. 37
2θ = 48.9°, rel. 100
2θ = 60.9°, rel. 17
2θ = 71.6°, rel. 15

[6]
For Ca2Zn6IrRh, the PBE geometry in Alexandria gives the calculated powder diffraction line list in this record (a wavelength of 1.5418 Å).

Cell and atoms:
```
Ca2Zn6IrRh
1.0
0.0000 4.8014 4.8014
4.8014 0.0000 4.8014
4.8014 4.8014 0.0000
Ca Zn Ir Rh
2 6 1 1
Direct
0.2500 0.2500 0.2500 Ca
0.7500 0.7500 0.7500 Ca
0.2490 0.2490 0.7510 Zn
0.2490 0.7510 0.2490 Zn
0.2490 0.7510 0.7510 Zn
0.7510 0.2490 0.2490 Zn
0.7510 0.2490 0.7510 Zn
0.7510 0.7510 0.2490 Zn
0.5000 0.5000 0.5000 Ir
0.0000 0.0000 0.0000 Rh
```

Principal peaks in the range 2θ = 10–80°, low angle first:
2θ = 18.5°, rel. 100
2θ = 26.2°, rel. 40
2θ = 37.5°, rel. 90
2θ = 42.1°, rel. 50
2θ = 46.3°, rel. 17
2θ = 54.0°, rel. 61
2θ = 57.6°, rel. 25
2θ = 67.6°, rel. 20

[7]
For Li8In2Hg, the PBE geometry in Alexandria gives the calculated powder diffraction line list in this record (a wavelength of 1.5418 Å).

Cell and atoms:
```
Li8In2Hg
1.0
-2.3366 3.3211 6.7817
2.3366 -3.3211 6.7817
2.3366 3.3211 -6.7817
Li In Hg
8 2 1
Direct
0.1358 0.3541 0.7817 Li
0.1622 0.1622 0.0000 Li
0.2882 0.0000 0.2882 Li
0.4276 0.6459 0.7817 Li
0.5724 0.3541 0.2183 Li
0.7118 0.0000 0.7118 Li
0.8378 0.8378 0.0000 Li
0.8642 0.6459 0.2183 Li
0.3033 0.8033 0.5000 In
0.6967 0.1967 0.5000 In
0.0000 0.5000 0.5000 Hg
```

Principal peaks in the range 2θ = 10–80°, low angle first:
2θ = 14.9°, rel. 23
2θ = 23.3°, rel. 100
2θ = 23.8°, rel. 80
2θ = 26.8°, rel. 35
2θ = 27.4°, rel. 54
2θ = 35.4°, rel. 27
2θ = 38.8°, rel. 57
2θ = 45.8°, rel. 28

[8]
For Ho4C2F, the PBE geometry in Alexandria gives the calculated powder diffraction line list in this record (a wavelength of 1.5418 Å).

Cell and atoms:
```
Ho4C2F
1.0
6.1956 0.0000 0.0000
0.0000 3.5720 0.0000
-1.9966 0.0000 5.9179
Ho C F
4 2 1
Direct
0.2367 0.0000 0.2217 Ho
0.2589 0.5000 0.7764 Ho
0.7411 0.5000 0.2236 Ho
0.7633 0.0000 0.7783 Ho
0.0000 0.5000 0.0000 C
0.5000 0.0000 0.0000 C
0.5000 0.5000 0.5000 F
```

Principal peaks in the range 2θ = 10–80°, low angle first:
2θ = 30.2°, rel. 46
2θ = 30.5°, rel. 50
2θ = 30.7°, rel. 100
2θ = 35.3°, rel. 86
2θ = 35.5°, rel. 43
2θ = 50.8°, rel. 26
2θ = 51.1°, rel. 47
2θ = 60.8°, rel. 21

[9]
For Tm8Al2Ru, the PBE geometry in Alexandria gives the calculated powder diffraction line list in this record (a wavelength of 1.5418 Å).

Cell and atoms:
```
Tm8Al2Ru
1.0
8.5760 -2.5937 0.0000
8.5760 2.5937 0.0000
-2.5658 0.0000 6.3270
Tm Al Ru
8 2 1
Direct
0.0148 0.0148 0.2787 Tm
0.1977 0.1977 0.7717 Tm
0.3503 0.3503 0.5643 Tm
0.4016 0.4016 0.0802 Tm
0.5984 0.5984 0.9198 Tm
0.6497 0.6497 0.4357 Tm
0.8023 0.8023 0.2283 Tm
0.9852 0.9852 0.7213 Tm
0.1790 0.1790 0.1922 Al
0.8210 0.8210 0.8078 Al
0.5000 0.5000 0.5000 Ru
```

Principal peaks in the range 2θ = 10–80°, low angle first:
2θ = 31.0°, rel. 41
2θ = 31.5°, rel. 51
2θ = 31.8°, rel. 29
2θ = 32.0°, rel. 30
2θ = 33.0°, rel. 80
2θ = 34.6°, rel. 96
2θ = 35.5°, rel. 100
2θ = 36.1°, rel. 56

[10]
For MgNb2FeAg, the PBE geometry in Alexandria gives the calculated powder diffraction line list in this record (a wavelength of 1.5418 Å).

Cell and atoms:
```
MgNb2FeAg
1.0
4.5452 0.0000 0.0000
0.0000 4.5452 0.0000
0.0000 0.0000 4.8143
Mg Nb Fe Ag
1 2 1 1
Direct
0.0000 0.0000 0.0000 Mg
0.0000 0.5000 0.5000 Nb
0.5000 0.0000 0.5000 Nb
0.0000 0.0000 0.5000 Fe
0.5000 0.5000 0.0000 Ag
```

Principal peaks in the range 2θ = 10–80°, low angle first:
2θ = 27.0°, rel. 52
2θ = 33.5°, rel. 100
2θ = 37.4°, rel. 38
2θ = 39.7°, rel. 64
2θ = 55.6°, rel. 46
2θ = 57.3°, rel. 22
2θ = 68.1°, rel. 24
2θ = 70.5°, rel. 22

Please write out number 3 again, unchanged.
For La3Ce2SmAs6, the PBE geometry in Alexandria gives the calculated powder diffraction line list in this record (a wavelength of 1.5418 Å).

Cell and atoms:
```
La3Ce2SmAs6
1.0
3.7181 -6.4390 0.0000
3.7181 6.4390 0.0000
-2.4783 0.0000 7.0260
La Ce Sm As
3 2 1 6
Direct
0.0000 0.0000 0.0000 La
0.3338 0.6662 0.0000 La
0.6662 0.3338 0.0000 La
0.1668 0.8332 0.5000 Ce
0.8332 0.1668 0.5000 Ce
0.5000 0.5000 0.5000 Sm
0.0846 0.4200 0.2600 As
0.2446 0.2446 0.7402 As
0.4200 0.0846 0.2600 As
0.5800 0.9154 0.7400 As
0.7554 0.7554 0.2598 As
0.9154 0.5800 0.7400 As
```

Principal peaks in the range 2θ = 10–80°, low angle first:
2θ = 25.4°, rel. 16
2θ = 29.4°, rel. 100
2θ = 42.1°, rel. 75
2θ = 49.8°, rel. 8
2θ = 52.2°, rel. 20
2θ = 61.0°, rel. 12
2θ = 69.1°, rel. 28
2θ = 76.9°, rel. 19